1.
For ScRu3, a DFT-relaxed cell (GGA-PBE, the Materials Project) gives the theoretical PXRD pattern in this record (Cu Kα X-rays).
Neutral-atom scattering factors, no anomalous dispersion.

Top 12 peaks for 2θ from 10° to 90°, sorted by position:
d/Å, Position (°2θ), intensity
4.022, 22.1, 3
3.508, 25.4, 9
2.274, 39.6, 100
2.209, 40.8, 3
2.011, 45.1, 17
1.949, 46.6, 31
1.704, 53.8, 2
1.400, 66.8, 20
1.378, 68.0, 10
1.206, 79.5, 12
1.179, 81.7, 23
1.137, 85.4, 10

Structural model:
a b c (Å): 4.8763 4.8763 4.8763
angles (deg): 132.88 132.88 68.85
Fractional positions:
Sc 0.0000 0.0000 0.0000
Ru 0.2500 0.7500 0.5000
Ru 0.5000 0.5000 0.0000
Ru 0.7500 0.2500 0.5000

2.
For ScRu, a DFT-relaxed cell (GGA-PBE, the Materials Project) gives the theoretical PXRD pattern in this record (Cu Kα X-rays).
Neutral-atom scattering factors, no anomalous dispersion.

Top 7 peaks for 2θ from 10° to 90°, sorted by position:
d/Å, Position (°2θ), intensity
3.215, 27.7, 20
2.273, 39.6, 100
1.856, 49.1, 6
1.607, 57.3, 16
1.438, 64.9, 8
1.312, 71.9, 32
1.137, 85.4, 10

Structural model:
a b c (Å): 3.2148 3.2148 3.2148
angles (deg): 90.00 90.00 90.00
Fractional positions:
Sc 0.0000 0.0000 0.0000
Ru 0.5000 0.5000 0.5000

3.
For ScRu3, a DFT-relaxed cell (GGA-PBE, the Materials Project) gives the theoretical PXRD pattern in this record (Cu Kα X-rays).
Neutral-atom scattering factors, no anomalous dispersion.

Top 12 peaks for 2θ from 10° to 90°, sorted by position:
d/Å, Position (°2θ), intensity
3.938, 22.6, 9
2.785, 32.1, 7
2.274, 39.6, 100
1.969, 46.1, 48
1.761, 51.9, 4
1.608, 57.3, 3
1.392, 67.2, 30
1.313, 71.9, 2
1.245, 76.5, 1
1.187, 81.0, 35
1.137, 85.4, 10
1.092, 89.8, 1

Structural model:
a b c (Å): 3.9384 3.9384 3.9384
angles (deg): 90.00 90.00 90.00
Fractional positions:
Sc 0.0000 0.0000 0.0000
Ru 0.0000 0.5000 0.5000
Ru 0.5000 0.0000 0.5000
Ru 0.5000 0.5000 0.0000

4.
For ScSiRu, a DFT-relaxed cell (GGA-PBE, the Materials Project) gives the theoretical PXRD pattern in this record (Cu Kα X-rays).
Neutral-atom scattering factors, no anomalous dispersion.

Top 12 peaks for 2θ from 10° to 90°, sorted by position:
d/Å, Position (°2θ), intensity
4.846, 18.3, 68
3.146, 28.4, 100
2.592, 34.6, 51
2.492, 36.0, 92
2.434, 36.9, 73
2.116, 42.7, 75
2.091, 43.3, 40
2.068, 43.8, 65
2.048, 44.2, 73
1.710, 53.6, 31
1.479, 62.8, 46
1.311, 72.0, 42

Structural model:
a b c (Å): 6.6522 4.1352 7.0735
angles (deg): 90.00 90.00 90.00
Fractional positions:
Sc 0.0015 0.2500 0.1856
Sc 0.4985 0.7500 0.6856
Sc 0.5015 0.2500 0.3144
Sc 0.9985 0.7500 0.8144
Si 0.2065 0.2500 0.6135
Si 0.2935 0.7500 0.1135
Si 0.7065 0.2500 0.8865
Si 0.7935 0.7500 0.3865
Ru 0.1583 0.7500 0.4397
Ru 0.3417 0.2500 0.9397
Ru 0.6583 0.7500 0.0603
Ru 0.8417 0.2500 0.5603